Starting from a structure optimized by DFT (GGA+U), the X-ray diffraction stick pattern of KCoCuF5 was calculated for CuKα.

Principal peaks in the range 2θ from 10° to 90°, in order of rising 2θ:
Position (°2θ)	d (Å)	I (rel.)
25.91	3.439	666
29.43	3.035	723
30.43	2.938	1000
43.79	2.067	178
44.80	2.023	183
51.84	1.764	189
52.84	1.732	206
55.39	1.659	214

Cell and atoms:
```
data_KCoCuF5
_chemical_formula_sum 'K4 Co4 Cu4 F20'
_space_group_name_H-M_alt 'C 1 2/c 1'
_space_group_IT_number 15
_cell_length_a 6.396
_cell_length_b 10.064
_cell_length_c 7.634
_cell_angle_alpha 90.00
_cell_angle_beta 108.39
_cell_angle_gamma 90.00
loop_
_space_group_symop_operation_xyz
'x,y,z'
'-x,-y,-z'
'-x,y,-z+1/2'
'x,-y,z+1/2'
'x+1/2,y+1/2,z'
'-x+1/2,-y+1/2,-z'
'-x+1/2,y+1/2,-z+1/2'
'x+1/2,-y+1/2,z+1/2'
loop_
_atom_site_label
_atom_site_type_symbol
_atom_site_fract_x
_atom_site_fract_y
_atom_site_fract_z
K1 K 0.000 0.173 0.250
Co1 Co 0.000 0.500 0.000
Cu1 Cu 0.000 0.174 0.750
F1 F 0.000 0.441 0.250
F2 F 0.053 0.303 0.580
F3 F 0.166 0.048 0.931
```